Structure and computed X-ray powder pattern of Pr8Pt3I4N (the GGA-PBE geometry in Alexandria; Cu Kα (weighted mean of Kα1 and Kα2)).
Lines closer than 0.1° are merged.

Principal peaks in the range 10° ≤ 2θ ≤ 80°, low angle first:
2θ (°), d [Å], intensity
10.92, 8.104, 22
28.64, 3.117, 100
30.73, 2.910, 10
35.78, 2.509, 14
38.64, 2.330, 27
43.16, 2.096, 36
48.20, 1.888, 8
52.64, 1.739, 11
59.30, 1.558, 8
70.33, 1.339, 13

Structure:
```
data_Pr8Pt3I4N
_cell_length_a 8.3875
_cell_length_b 8.3875
_cell_length_c 9.4455
_cell_angle_alpha 116.43
_cell_angle_beta 116.43
_cell_angle_gamma 59.93
_symmetry_space_group_name_H-M 'P 1'
_symmetry_Int_Tables_number 1
loop_
_symmetry_equiv_pos_as_xyz
'x,y,z'
loop_
_atom_site_label
_atom_site_type_symbol
_atom_site_fract_x
_atom_site_fract_y
_atom_site_fract_z
Pr1 Pr 0.2123 0.7579 0.6821
Pr2 Pr 0.2130 0.2130 0.6826
Pr3 Pr 0.2421 0.7877 0.3179
Pr4 Pr 0.2709 0.2709 0.3132
Pr5 Pr 0.7291 0.7291 0.6868
Pr6 Pr 0.7579 0.2123 0.6821
Pr7 Pr 0.7870 0.7870 0.3174
Pr8 Pr 0.7877 0.2421 0.3179
Pt1 Pt 0.0000 0.5000 0.5000
Pt2 Pt 0.5000 0.0000 0.5000
Pt3 Pt 0.5000 0.5000 0.5000
I1 I 0.0000 0.0000 0.0000
I2 I 0.0000 0.5000 0.0000
I3 I 0.5000 0.0000 0.0000
I4 I 0.5000 0.5000 0.0000
N1 N 0.0000 0.0000 0.5000
```